(1)
TmVO3: simulated powder diffraction line list (Cu Kα (λ = 1.5418 Å)), based on a DFT-relaxed cell (GGA+U, the Materials Project).
Kinematic intensities with the Lorentz-polarization factor, no thermal factor.

Structural model:
```
data_TmVO3
_chemical_formula_sum 'Tm4 V4 O12'
_symmetry_space_group_name_H-M 'P n m a'
_symmetry_Int_Tables_number 62
_cell_length_a 5.6880
_cell_length_b 7.6224
_cell_length_c 5.2628
_cell_angle_alpha 90.00
_cell_angle_beta 90.00
_cell_angle_gamma 90.00
loop_
_symmetry_equiv_pos_as_xyz
'x,y,z'
'-x,-y,-z'
'-x+1/2,-y,z+1/2'
'x+1/2,y,-z+1/2'
'x+1/2,-y+1/2,-z+1/2'
'-x+1/2,y+1/2,z+1/2'
'-x,y+1/2,-z'
'x,-y+1/2,z'
loop_
_atom_site_label
_atom_site_type_symbol
_atom_site_fract_x
_atom_site_fract_y
_atom_site_fract_z
Tm1 Tm 0.0707 0.2500 0.0223
V1 V 0.0000 0.0000 0.5000
O1 O 0.0517 0.7500 0.3748
O2 O 0.1871 0.5631 0.8083
```

Main lines, in order of rising 2θ (10° ≤ 2θ ≤ 90°):
2θ = 23.02°, I 30
2θ = 23.34°, I 20
2θ = 25.86°, I 27
2θ = 31.46°, I 18
2θ = 33.02°, I 100
2θ = 33.63°, I 17
2θ = 34.07°, I 23
2θ = 48.63°, I 17
2θ = 52.70°, I 23
2θ = 60.32°, I 21

(2)
Li3Co2CuO6: simulated powder diffraction line list (Cu Kα (λ = 1.5418 Å)), based on a DFT-relaxed cell (GGA+U, the Materials Project).
Kinematic intensities with the Lorentz-polarization factor, no thermal factor.

Structural model:
```
data_Li3Co2CuO6
_chemical_formula_sum 'Li6 Co4 Cu2 O12'
_symmetry_space_group_name_H-M 'C 1 2/m 1'
_symmetry_Int_Tables_number 12
_cell_length_a 12.8641
_cell_length_b 2.9345
_cell_length_c 5.9200
_cell_angle_alpha 90.00
_cell_angle_beta 103.60
_cell_angle_gamma 90.00
loop_
_symmetry_equiv_pos_as_xyz
'x,y,z'
'-x,-y,-z'
'-x,y,-z'
'x,-y,z'
'x+1/2,y+1/2,z'
'-x+1/2,-y+1/2,-z'
'-x+1/2,y+1/2,-z'
'x+1/2,-y+1/2,z'
loop_
_atom_site_label
_atom_site_type_symbol
_atom_site_fract_x
_atom_site_fract_y
_atom_site_fract_z
Li1 Li 0.0000 0.0000 0.0000
Li2 Li 0.1625 0.5000 0.3351
Co1 Co 0.1643 0.5000 0.8346
Cu1 Cu 0.0000 0.0000 0.5000
O1 O 0.0062 0.5000 0.7379
O2 O 0.1620 0.0000 0.5960
O3 O 0.1736 0.0000 0.0699
```

Main lines, in order of rising 2θ (10° ≤ 2θ ≤ 90°):
2θ = 18.34°, I 100
2θ = 35.82°, I 43
2θ = 37.48°, I 10
2θ = 43.42°, I 74
2θ = 47.56°, I 10
2θ = 57.31°, I 15
2θ = 62.96°, I 13
2θ = 63.22°, I 14
2θ = 63.39°, I 7
2θ = 66.44°, I 10

(3)
Rb3CrF6: simulated powder diffraction line list (Cu Kα (λ = 1.5418 Å)), based on a DFT-relaxed cell (GGA+U, the Materials Project).
Kinematic intensities with the Lorentz-polarization factor, no thermal factor.

Structural model:
```
data_Rb3CrF6
_chemical_formula_sum 'Rb3 Cr1 F6'
_symmetry_space_group_name_H-M 'P -1'
_symmetry_Int_Tables_number 2
_cell_length_a 6.9918
_cell_length_b 7.0271
_cell_length_c 7.0428
_cell_angle_alpha 102.08
_cell_angle_beta 102.81
_cell_angle_gamma 105.37
loop_
_symmetry_equiv_pos_as_xyz
'x,y,z'
'-x,-y,-z'
loop_
_atom_site_label
_atom_site_type_symbol
_atom_site_fract_x
_atom_site_fract_y
_atom_site_fract_z
Rb1 Rb 0.0000 0.0000 0.0000
Rb2 Rb 0.0000 0.5000 0.5000
Rb3 Rb 0.5000 0.0000 0.5000
Cr1 Cr 0.0000 0.0000 0.5000
F1 F 0.0465 0.7954 0.2974
F2 F 0.2052 0.9502 0.7050
F3 F 0.2130 0.2103 0.4449
```

Main lines, in order of rising 2θ (10° ≤ 2θ ≤ 90°):
2θ = 13.45°, I 100
2θ = 13.63°, I 96
2θ = 13.74°, I 94
2θ = 20.78°, I 24
2θ = 27.09°, I 35
2θ = 27.47°, I 33
2θ = 27.69°, I 33
2θ = 30.13°, I 28
2θ = 39.06°, I 34
2θ = 42.69°, I 30

(4)
MgFe6O4F8: simulated powder diffraction line list (Cu Kα (λ = 1.5418 Å)), based on a DFT-relaxed cell (GGA+U, the Materials Project).
Kinematic intensities with the Lorentz-polarization factor, no thermal factor.

Structural model:
```
data_MgFe6O4F8
_chemical_formula_sum 'Mg1 Fe6 O4 F8'
_symmetry_space_group_name_H-M 'P 1'
_symmetry_Int_Tables_number 1
_cell_length_a 5.8120
_cell_length_b 6.0442
_cell_length_c 7.8719
_cell_angle_alpha 109.13
_cell_angle_beta 97.19
_cell_angle_gamma 111.20
loop_
_symmetry_equiv_pos_as_xyz
'x,y,z'
loop_
_atom_site_label
_atom_site_type_symbol
_atom_site_fract_x
_atom_site_fract_y
_atom_site_fract_z
Mg1 Mg 0.0000 0.0000 0.0000
Fe1 Fe 0.0062 0.4997 0.0075
Fe2 Fe 0.0323 0.0346 0.5017
Fe3 Fe 0.2944 0.5210 0.3464
Fe4 Fe 0.4078 0.0344 0.8154
Fe5 Fe 0.6313 0.0119 0.2013
Fe6 Fe 0.6719 0.4913 0.6497
O1 O 0.3307 0.3358 0.5029
O2 O 0.3638 0.6832 0.1779
O3 O 0.6639 0.3516 0.8249
O4 O 0.9521 0.2869 0.1780
F1 F 0.0553 0.7162 0.8143
F2 F 0.0906 0.1589 0.8074
F3 F 0.2420 0.8071 0.5281
F4 F 0.3817 0.1544 0.1022
F5 F 0.6271 0.8216 0.8523
F6 F 0.7171 0.7022 0.4933
F7 F 0.7802 0.2245 0.4920
F8 F 0.9297 0.8370 0.1891
```

Main lines, in order of rising 2θ (10° ≤ 2θ ≤ 90°):
2θ = 23.38°, I 100
2θ = 26.64°, I 78
2θ = 34.00°, I 28
2θ = 34.13°, I 31
2θ = 34.52°, I 26
2θ = 34.57°, I 23
2θ = 34.79°, I 18
2θ = 47.81°, I 26
2θ = 49.10°, I 30
2θ = 60.50°, I 19

(5)
Na7Mn10O24: simulated powder diffraction line list (Cu Kα (λ = 1.5418 Å)), based on a DFT-relaxed cell (GGA+U, the Materials Project).
Kinematic intensities with the Lorentz-polarization factor, no thermal factor.

Structural model:
```
data_Na7Mn10O24
_chemical_formula_sum 'Na14 Mn20 O48'
_symmetry_space_group_name_H-M 'C 1 m 1'
_symmetry_Int_Tables_number 8
_cell_length_a 10.6650
_cell_length_b 5.9739
_cell_length_c 15.3599
_cell_angle_alpha 90.00
_cell_angle_beta 92.43
_cell_angle_gamma 90.00
loop_
_symmetry_equiv_pos_as_xyz
'x,y,z'
'x,-y,z'
'x+1/2,y+1/2,z'
'x+1/2,-y+1/2,z'
loop_
_atom_site_label
_atom_site_type_symbol
_atom_site_fract_x
_atom_site_fract_y
_atom_site_fract_z
Na1 Na 0.0000 0.0000 0.0000
Na2 Na 0.0020 0.0000 0.3762
Na3 Na 0.1576 0.5000 0.7011
Na4 Na 0.1736 0.5000 0.9602
Na5 Na 0.3271 0.0000 0.0447
Na6 Na 0.4957 0.5000 0.6178
Na7 Na 0.4977 0.0000 0.4933
Mn1 Mn 0.0851 0.2468 0.1757
Mn2 Mn 0.1639 0.0000 0.8241
Mn3 Mn 0.1800 0.5000 0.3328
Mn4 Mn 0.2483 0.2532 0.4992
Mn5 Mn 0.3229 0.0000 0.6606
Mn6 Mn 0.3380 0.5000 0.1753
Mn7 Mn 0.4164 0.2526 0.8234
O1 O 0.0053 0.0000 0.2377
O2 O 0.0362 0.5000 0.2518
O3 O 0.0761 0.2285 0.8847
O4 O 0.1205 0.2783 0.4107
O5 O 0.1482 0.0000 0.1124
O6 O 0.1655 0.5000 0.1104
O7 O 0.1826 0.0000 0.5715
O8 O 0.1844 0.5000 0.5607
O9 O 0.2446 0.2881 0.2488
O10 O 0.2582 0.2096 0.7511
O11 O 0.3071 0.0000 0.4362
O12 O 0.3193 0.5000 0.4318
O13 O 0.3365 0.0000 0.8891
O14 O 0.3518 0.5000 0.8850
O15 O 0.3812 0.2191 0.5870
O16 O 0.4261 0.2736 0.1128
O17 O 0.4654 0.0000 0.7475
O18 O 0.4965 0.5000 0.7598
```

Main lines, in order of rising 2θ (10° ≤ 2θ ≤ 90°):
2θ = 17.36°, I 100
2θ = 18.09°, I 44
2θ = 33.61°, I 34
2θ = 34.37°, I 22
2θ = 34.79°, I 60
2θ = 41.49°, I 51
2θ = 42.11°, I 24
2θ = 54.14°, I 22
2θ = 60.53°, I 19
2θ = 60.67°, I 23

(6)
Li6V2OF11: simulated powder diffraction line list (Cu Kα (λ = 1.5418 Å)), based on a DFT-relaxed cell (GGA+U, the Materials Project).
Kinematic intensities with the Lorentz-polarization factor, no thermal factor.

Structural model:
```
data_Li6V2OF11
_chemical_formula_sum 'Li6 V2 O1 F11'
_symmetry_space_group_name_H-M 'P 1'
_symmetry_Int_Tables_number 1
_cell_length_a 5.1232
_cell_length_b 5.5040
_cell_length_c 8.7922
_cell_angle_alpha 74.02
_cell_angle_beta 89.42
_cell_angle_gamma 62.58
loop_
_symmetry_equiv_pos_as_xyz
'x,y,z'
loop_
_atom_site_label
_atom_site_type_symbol
_atom_site_fract_x
_atom_site_fract_y
_atom_site_fract_z
Li1 Li 0.0000 0.0000 0.0000
Li2 Li 0.0750 0.2006 0.3593
Li3 Li 0.2970 0.2072 0.7609
Li4 Li 0.5983 0.7277 0.8778
Li5 Li 0.7616 0.7428 0.2796
Li6 Li 0.8534 0.9374 0.6357
V1 V 0.3127 0.4894 0.1278
V2 V 0.5424 0.4509 0.5232
O1 O 0.2790 0.4684 0.3079
F1 F 0.2766 0.1458 0.9855
F2 F 0.2831 0.7962 0.6566
F3 F 0.3316 0.8647 0.2193
F4 F 0.3328 0.5644 0.9300
F5 F 0.3582 0.2345 0.5576
F6 F 0.7252 0.9675 0.8177
F7 F 0.7499 0.3206 0.1593
F8 F 0.7663 0.6171 0.4729
F9 F 0.8264 0.0740 0.4179
F10 F 0.8274 0.3733 0.7206
F11 F 0.8857 0.7037 0.0768
```

Main lines, in order of rising 2θ (10° ≤ 2θ ≤ 90°):
2θ = 19.07°, I 94
2θ = 19.86°, I 62
2θ = 21.07°, I 67
2θ = 21.22°, I 56
2θ = 32.70°, I 100
2θ = 35.00°, I 91
2θ = 40.03°, I 68
2θ = 40.27°, I 57
2θ = 52.10°, I 63
2θ = 55.14°, I 56

(7)
FeO4F2: simulated powder diffraction line list (Cu Kα (λ = 1.5418 Å)), based on a DFT-relaxed cell (GGA+U, the Materials Project).
Kinematic intensities with the Lorentz-polarization factor, no thermal factor.

Structural model:
```
data_FeO4F2
_chemical_formula_sum 'Fe4 O16 F8'
_symmetry_space_group_name_H-M 'P c a 21'
_symmetry_Int_Tables_number 29
_cell_length_a 12.4258
_cell_length_b 5.4076
_cell_length_c 6.9184
_cell_angle_alpha 90.00
_cell_angle_beta 90.00
_cell_angle_gamma 90.00
loop_
_symmetry_equiv_pos_as_xyz
'x,y,z'
'-x,-y,z+1/2'
'-x+1/2,y,z+1/2'
'x+1/2,-y,z'
loop_
_atom_site_label
_atom_site_type_symbol
_atom_site_fract_x
_atom_site_fract_y
_atom_site_fract_z
Fe1 Fe 0.1623 0.2343 0.0000
O1 O 0.0674 0.6153 0.4722
O2 O 0.1070 0.6030 0.3103
O3 O 0.1689 0.0652 0.7496
O4 O 0.1906 0.2092 0.5997
F1 F 0.0805 0.0941 0.1830
F2 F 0.1554 0.5521 0.9234
```

Main lines, in order of rising 2θ (10° ≤ 2θ ≤ 90°):
2θ = 14.26°, I 21
2θ = 17.89°, I 100
2θ = 19.20°, I 51
2θ = 22.06°, I 54
2θ = 28.74°, I 28
2θ = 30.09°, I 26
2θ = 30.68°, I 22
2θ = 31.56°, I 77
2θ = 33.93°, I 22
2θ = 42.43°, I 15

Please write out number 1 again, unchanged.
TmVO3: simulated powder diffraction line list (Cu Kα (λ = 1.5418 Å)), based on a DFT-relaxed cell (GGA+U, the Materials Project).
Kinematic intensities with the Lorentz-polarization factor, no thermal factor.

Structural model:
```
data_TmVO3
_chemical_formula_sum 'Tm4 V4 O12'
_symmetry_space_group_name_H-M 'P n m a'
_symmetry_Int_Tables_number 62
_cell_length_a 5.6880
_cell_length_b 7.6224
_cell_length_c 5.2628
_cell_angle_alpha 90.00
_cell_angle_beta 90.00
_cell_angle_gamma 90.00
loop_
_symmetry_equiv_pos_as_xyz
'x,y,z'
'-x,-y,-z'
'-x+1/2,-y,z+1/2'
'x+1/2,y,-z+1/2'
'x+1/2,-y+1/2,-z+1/2'
'-x+1/2,y+1/2,z+1/2'
'-x,y+1/2,-z'
'x,-y+1/2,z'
loop_
_atom_site_label
_atom_site_type_symbol
_atom_site_fract_x
_atom_site_fract_y
_atom_site_fract_z
Tm1 Tm 0.0707 0.2500 0.0223
V1 V 0.0000 0.0000 0.5000
O1 O 0.0517 0.7500 0.3748
O2 O 0.1871 0.5631 0.8083
```

Main lines, in order of rising 2θ (10° ≤ 2θ ≤ 90°):
2θ = 23.02°, I 30
2θ = 23.34°, I 20
2θ = 25.86°, I 27
2θ = 31.46°, I 18
2θ = 33.02°, I 100
2θ = 33.63°, I 17
2θ = 34.07°, I 23
2θ = 48.63°, I 17
2θ = 52.70°, I 23
2θ = 60.32°, I 21